For RbTaSbO6, a cell relaxed with GGA-PBE gives the simulated powder XRD pattern in this record (Cu Ka).
Intensities are scaled so that the largest is 100.

Cell and atoms:
Cell lengths 5.5065, 5.5065, 6.1554 Å; angles 90.00, 90.00, 120.00 degrees
Space group P312 (No. 149)
Inequivalent atoms, fractional coordinates:
Rb 0.0000 0.0000 0.0000
Ta 0.6667 0.3333 0.5000
Sb 0.3333 0.6667 0.5000
O 0.4036 0.0008 0.3201

Largest 10 diffraction maxima, in order of rising 2θ, 2θ = 10–80°:
2theta, d [Å], I_rel, hkl
14.39, 6.155, 56, 0 0 1
23.60, 3.770, 100, 1 0 1
29.01, 3.078, 16, 0 0 2
32.52, 2.753, 41, 1 1 0
35.73, 2.513, 23, 1 1 1
40.58, 2.223, 18, 2 0 1
44.13, 2.052, 52, 1 1 2
48.29, 1.885, 14, 1 0 3
52.93, 1.730, 21, 2 1 1
70.04, 1.343, 15, 2 -1 4

For Dy12Ho5Er, a cell relaxed with GGA-PBE gives the simulated powder XRD pattern in this record (Cu Ka).
Intensities are scaled so that the largest is 100.

Cell and atoms:
Cell lengths 14.9466, 14.9775, 4.9851 Å; angles 90.00, 90.00, 90.00 degrees
Space group Cmmm (No. 65)
Inequivalent atoms, fractional coordinates:
Dy 0.1663 0.0000 0.0000
Dy 0.1663 0.1666 0.5000
Dy 0.1665 0.3333 0.0000
Dy 0.1666 0.5000 0.5000
Ho 0.0000 0.1666 0.0000
Ho 0.0000 0.3334 0.5000
Ho 0.0000 0.5000 0.0000
Er 0.0000 0.0000 0.5000

Largest 8 diffraction maxima, in order of rising 2θ, 2θ = 10–80°:
2theta, d [Å], I_rel, hkl
31.06, 2.879, 100, 3 3 1
36.02, 2.493, 51, 6 0 0
51.86, 1.763, 36, 6 6 0
61.67, 1.504, 28, 3 9 1
61.74, 1.503, 14, 9 3 1
64.76, 1.440, 12, 6 6 2
76.29, 1.248, 2, 0 12 0
76.45, 1.246, 4, 12 0 0

For Ca2ErP3Rh12, a cell relaxed with GGA-PBE gives the simulated powder XRD pattern in this record (Cu Ka).
Intensities are scaled so that the largest is 100.

Cell and atoms:
Cell lengths 8.8805, 8.8805, 12.7585 Å; angles 90.00, 90.00, 120.00 degrees
Space group R-3m (No. 166, hexagonal axes)
Inequivalent atoms, fractional coordinates:
Ca 0.0000 0.0000 0.1158
Er 0.0000 0.0000 0.5000
P 0.0000 0.5000 0.0000
Rh 0.0128 0.5064 0.8249
Rh 0.0367 0.5183 0.3829

Largest 10 diffraction maxima, in order of rising 2θ, 2θ = 10–80°:
2theta, d [Å], I_rel, hkl
20.89, 4.253, 11, 0 0 3
33.89, 2.645, 35, 1 2 2
36.60, 2.455, 22, 0 2 4
37.12, 2.422, 23, 0 1 5
40.64, 2.220, 100, 2 2 0
42.52, 2.126, 31, 2 0 5
47.41, 1.918, 17, 1 2 5
56.21, 1.637, 11, 3 1 5
60.27, 1.536, 19, 0 4 5
73.95, 1.282, 12, 6 0 0